[1]
# MgFe4P12O36
Calculated XRD peak list, a wavelength of 1.5418 Å. Input: a DFT-relaxed cell (PBE+U, the Materials Project).
Peak positions follow from Bragg's law for the DFT cell and can differ from measured ones.

Structural model:
```
data_MgFe4P12O36
_chemical_formula_sum 'Mg1 Fe4 P12 O36'
_cell_length_a 8.565
_cell_length_b 8.644
_cell_length_c 8.759
_cell_angle_alpha 91.14
_cell_angle_beta 90.61
_cell_angle_gamma 91.39
_space_group_name_H-M_alt 'P 1'
_space_group_IT_number 1
_space_group_name_Hall 'P 1'
loop_
_atom_site_label
_atom_site_fract_x
_atom_site_fract_y
_atom_site_fract_z
Mg1 0.000 0.000 0.000
Fe1 0.230 0.023 0.726
Fe2 0.477 0.512 0.537
Fe3 0.709 0.238 0.046
Fe4 0.976 0.721 0.242
P1 0.034 0.346 0.196
P2 0.051 0.692 0.822
P3 0.151 0.068 0.333
P4 0.166 0.393 0.715
P5 0.312 0.545 0.194
P6 0.381 0.053 0.082
P7 0.537 0.883 0.583
P8 0.553 0.560 0.940
P9 0.646 0.175 0.444
P10 0.661 0.855 0.080
P11 0.812 0.692 0.574
P12 0.878 0.198 0.711
O1 0.003 0.757 0.977
O2 0.045 0.967 0.230
O3 0.080 0.239 0.336
O4 0.121 0.522 0.843
O5 0.159 0.791 0.732
O6 0.185 0.027 0.492
O7 0.203 0.397 0.135
O8 0.212 0.678 0.233
O9 0.244 0.008 0.979
O10 0.244 0.261 0.790
O11 0.247 0.469 0.583
O12 0.316 0.097 0.247
O13 0.397 0.582 0.036
O14 0.429 0.490 0.309
O15 0.451 0.743 0.516
O16 0.467 0.970 0.714
O17 0.486 0.182 0.029
O18 0.486 0.907 0.119
O19 0.510 0.523 0.778
O20 0.538 0.285 0.521
O21 0.572 0.002 0.445
O22 0.627 0.734 0.942
O23 0.662 0.459 0.029
O24 0.697 0.203 0.283
O25 0.705 0.559 0.524
O26 0.710 0.836 0.633
O27 0.734 0.778 0.212
O28 0.752 0.995 0.017
O29 0.755 0.253 0.819
O30 0.803 0.153 0.548
O31 0.890 0.645 0.733
O32 0.936 0.747 0.469
O33 0.940 0.478 0.248
O34 0.956 0.240 0.071
O35 0.974 0.067 0.771
O36 0.992 0.337 0.657
```

Most intense lines, 2θ = 10–80°, by intensity:
- 2θ = 22.9°, d = 3.887 Å, rel. 100
- 2θ = 22.7°, d = 3.916 Å, rel. 54
- 2θ = 23.3°, d = 3.819 Å, rel. 44
- 2θ = 32.6°, d = 2.750 Å, rel. 42
- 2θ = 33.1°, d = 2.707 Å, rel. 37
- 2θ = 24.9°, d = 3.577 Å, rel. 25


[2]
# Na3Li3Fe2P2C2O14
Calculated XRD peak list, a wavelength of 1.5418 Å. Input: a DFT-relaxed cell (PBE+U, the Materials Project).
Peak positions follow from Bragg's law for the DFT cell and can differ from measured ones.

Structural model:
```
data_Na3Li3Fe2P2C2O14
_chemical_formula_sum 'Na6 Li6 Fe4 P4 C4 O28'
_cell_length_a 5.179
_cell_length_b 10.706
_cell_length_c 11.252
_cell_angle_alpha 74.10
_cell_angle_beta 88.19
_cell_angle_gamma 87.39
_space_group_name_H-M_alt 'P 1'
_space_group_IT_number 1
_space_group_name_Hall 'P 1'
loop_
_atom_site_label
_atom_site_fract_x
_atom_site_fract_y
_atom_site_fract_z
Na1 0.000 0.000 0.000
Na2 0.000 0.500 0.500
Na3 0.491 0.246 0.239
Na4 0.492 0.746 0.739
Na5 0.500 0.053 0.772
Na6 0.500 0.553 0.272
Li1 0.505 0.000 0.458
Li2 0.508 0.500 0.957
Li3 0.972 0.750 0.283
Li4 0.973 0.250 0.783
Li5 0.987 0.179 0.474
Li6 0.988 0.679 0.974
Fe1 0.527 0.918 0.170
Fe2 0.529 0.418 0.670
Fe3 0.960 0.834 0.564
Fe4 0.961 0.334 0.064
P1 0.032 0.041 0.287
P2 0.034 0.541 0.786
P3 0.458 0.213 0.949
P4 0.458 0.712 0.449
C1 0.023 0.482 0.213
C2 0.023 0.982 0.713
C3 0.455 0.261 0.520
C4 0.456 0.761 0.021
O1 0.039 0.557 0.286
O2 0.040 0.057 0.785
O3 0.156 0.728 0.447
O4 0.157 0.228 0.947
O5 0.230 0.438 0.166
O6 0.230 0.939 0.665
O7 0.279 0.316 0.578
O8 0.281 0.815 0.079
O9 0.333 0.021 0.289
O10 0.335 0.521 0.789
O11 0.380 0.188 0.454
O12 0.381 0.688 0.954
O13 0.537 0.067 0.006
O14 0.537 0.566 0.506
O15 0.566 0.301 0.022
O16 0.566 0.800 0.522
O17 0.570 0.748 0.314
O18 0.571 0.248 0.814
O19 0.697 0.280 0.532
O20 0.699 0.780 0.032
O21 0.799 0.451 0.183
O22 0.799 0.950 0.683
O23 0.919 0.950 0.217
O24 0.920 0.450 0.717
O25 0.922 0.012 0.423
O26 0.924 0.512 0.923
O27 0.957 0.185 0.226
O28 0.959 0.685 0.726
```

Most intense lines, 2θ = 10–80°, by intensity:
- 2θ = 27.0°, d = 3.305 Å, rel. 100
- 2θ = 10.1°, d = 8.742 Å, rel. 99
- 2θ = 34.7°, d = 2.588 Å, rel. 79
- 2θ = 20.4°, d = 4.360 Å, rel. 39
- 2θ = 26.0°, d = 3.422 Å, rel. 36
- 2θ = 19.5°, d = 4.550 Å, rel. 32


[3]
# Li13Mn3Sb2O16
Calculated XRD peak list, a wavelength of 1.5418 Å. Input: a DFT-relaxed cell (PBE+U, the Materials Project).
Peak positions follow from Bragg's law for the DFT cell and can differ from measured ones.

Structural model:
```
data_Li13Mn3Sb2O16
_chemical_formula_sum 'Li13 Mn3 Sb2 O16'
_cell_length_a 6.019
_cell_length_b 6.019
_cell_length_c 10.019
_cell_angle_alpha 91.05
_cell_angle_beta 91.05
_cell_angle_gamma 60.78
_space_group_name_H-M_alt 'P 1'
_space_group_IT_number 1
_space_group_name_Hall 'P 1'
loop_
_atom_site_label
_atom_site_fract_x
_atom_site_fract_y
_atom_site_fract_z
Li1 0.000 0.000 0.000
Li2 0.051 0.451 0.713
Li3 0.056 0.056 0.757
Li4 0.165 0.165 0.275
Li5 0.350 0.756 0.249
Li6 0.352 0.352 0.212
Li7 0.432 0.827 0.489
Li8 0.451 0.051 0.713
Li9 0.502 0.502 0.018
Li10 0.756 0.350 0.249
Li11 0.827 0.432 0.489
Li12 0.846 0.846 0.696
Li13 0.997 0.997 0.521
Mn1 0.002 0.507 0.982
Mn2 0.346 0.346 0.481
Mn3 0.507 0.002 0.982
Sb1 0.520 0.520 0.745
Sb2 0.829 0.829 0.247
O1 0.008 0.503 0.350
O2 0.136 0.669 0.115
O3 0.184 0.184 0.581
O4 0.187 0.187 0.079
O5 0.196 0.673 0.630
O6 0.354 0.840 0.863
O7 0.356 0.356 0.854
O8 0.496 0.496 0.379
O9 0.503 0.008 0.350
O10 0.665 0.665 0.132
O11 0.669 0.136 0.115
O12 0.673 0.196 0.630
O13 0.675 0.675 0.635
O14 0.828 0.828 0.888
O15 0.840 0.354 0.863
O16 0.999 0.999 0.334
```

Most intense lines, 2θ = 10–80°, by intensity:
- 2θ = 19.0°, d = 4.662 Å, rel. 100
- 2θ = 34.5°, d = 2.600 Å, rel. 34
- 2θ = 19.2°, d = 4.631 Å, rel. 27
- 2θ = 24.4°, d = 3.644 Å, rel. 24
- 2θ = 16.9°, d = 5.253 Å, rel. 18
- 2θ = 31.9°, d = 2.804 Å, rel. 17